(1)
Starting from a cell relaxed with GGA-PBE, the powder diffraction line list of Rb2MgV2Cu4S8 was simulated for λ = 1.5418 Å (Cu Kα).
No peak broadening, texture or thermal motion is included.

Principal peaks in the range 2θ = 15–90°, low angle first:
two_theta, intensity
15.0, 77
22.0, 48
28.2, 70
28.4, 48
29.2, 100
32.1, 55
44.8, 56
45.0, 55
48.8, 44
50.1, 52

Crystal structure
Lattice parameters (Å, degrees): 5.5487 7.4618 9.9643 90.00 105.82 90.00
Fractional positions:
Rb1 0.0000 0.0000 0.0000
Rb2 0.3981 0.5000 0.7502
Mg1 0.7839 0.5000 0.4031
V1 0.3199 0.5000 0.1436
V2 0.5339 0.0000 0.5820
Cu1 0.0334 0.0000 0.5760
Cu2 0.4329 0.2411 0.3616
Cu3 0.4329 0.7589 0.3616
Cu4 0.8142 0.5000 0.1330
S1 0.1883 0.5000 0.3440
S2 0.2042 0.0000 0.3881
S3 0.3869 0.0000 0.7642
S4 0.5687 0.2585 0.1624
S5 0.5687 0.7415 0.1624
S6 0.7690 0.2472 0.5718
S7 0.7690 0.7528 0.5718
S8 0.9969 0.5000 0.9575

***

(2)
Starting from a cell relaxed with GGA-PBE, the powder diffraction line list of MgCu2S2 was simulated for λ = 1.5418 Å (Cu Kα).
No peak broadening, texture or thermal motion is included.

Principal peaks in the range 2θ = 15–90°, low angle first:
two_theta, intensity
26.3, 39
28.0, 100
31.9, 36
34.6, 69
39.9, 26
41.0, 20
44.7, 33
46.8, 94
54.5, 26
63.1, 37

Crystal structure
Lattice parameters (Å, degrees): 7.1466 7.1466 7.1466 31.51 31.51 31.51
Fractional positions:
Mg1 0.0000 0.0000 0.0000
Cu1 0.2300 0.2300 0.2300
Cu2 0.7791 0.7791 0.7791
S1 0.1180 0.1180 0.1180
S2 0.6091 0.6091 0.6091

***

(3)
Starting from a cell relaxed with GGA-PBE, the powder diffraction line list of MgCu6S6 was simulated for λ = 1.5418 Å (Cu Kα).
No peak broadening, texture or thermal motion is included.

Principal peaks in the range 2θ = 15–90°, low angle first:
two_theta, intensity
18.9, 40
27.7, 28
28.5, 24
28.9, 27
30.8, 100
33.4, 45
39.9, 49
47.7, 36
48.1, 94
56.9, 18

Crystal structure
Lattice parameters (Å, degrees): 3.7800 3.7800 18.7768 90.00 90.00 120.00
Fractional positions:
Mg1 0.0000 0.0000 0.0000
Cu1 0.3333 0.6667 0.2036
Cu2 0.3333 0.6667 0.5529
Cu3 0.3333 0.6667 0.8690
Cu4 0.6667 0.3333 0.1234
Cu5 0.6667 0.3333 0.3932
Cu6 0.6667 0.3333 0.6454
S1 0.0000 0.0000 0.2378
S2 0.0000 0.0000 0.3557
S3 0.0000 0.0000 0.6789
S4 0.0000 0.0000 0.8740
S5 0.3333 0.6667 0.0680
S6 0.6667 0.3333 0.5131